# 1
Computed powder diffractogram of AlCr2 for Cu Kα, 1.54184 Å, from a DFT-relaxed cell (GGA-PBE, the Materials Project).

Structure:
Cell: 2.901 4.285 12.208 Å, 90.00 90.00 90.00°
Space group Fmmm (No. 69)
One atom of each set of equivalent atoms:
Al1 0.000 0.000 0.000
Cr1 0.000 0.000 0.326

Peak list (10 most intense, 2θ from 10° to 90°, in order of rising 2θ)
| h k l | two_theta | I/Imax |
| --- | --- | --- |
| 0 0 2 | 14.51 | 30 |
| 0 2 0 | 42.18 | 28 |
| 1 1 3 | 43.76 | 100 |
| 0 0 6 | 44.53 | 23 |
| 1 1 5 | 53.52 | 6 |
| 0 2 6 | 63.00 | 15 |
| 2 0 0 | 64.22 | 7 |
| 1 3 3 | 78.21 | 15 |
| 2 2 0 | 79.86 | 7 |
| 2 0 6 | 81.50 | 19 |

=====

# 2
Computed powder diffractogram of AlCr2 for Cu Kα, 1.54184 Å, from a DFT-relaxed cell (GGA-PBE, the Materials Project).

Structure:
Cell: 2.958 2.958 8.645 Å, 90.00 90.00 90.00°
Space group I4/mmm (No. 139)
One atom of each set of equivalent atoms:
Al1 0.000 0.000 0.000
Cr1 0.000 0.000 0.316

Peak list (10 most intense, 2θ from 10° to 90°, in order of rising 2θ)
| h k l | two_theta | I/Imax |
| --- | --- | --- |
| 0 0 2 | 20.55 | 25 |
| 1 0 1 | 31.97 | 4 |
| 1 1 0 | 43.25 | 57 |
| 1 0 3 | 43.86 | 100 |
| 1 1 2 | 48.34 | 9 |
| 1 0 5 | 62.19 | 8 |
| 2 0 0 | 62.82 | 17 |
| 0 0 6 | 64.69 | 5 |
| 2 1 3 | 79.76 | 29 |
| 1 1 6 | 81.03 | 11 |